Starting from a GGA+U-relaxed structure, the powder diffraction line list of K2MoS2O2 was calculated for copper Kα.
No peak broadening, texture or thermal motion is included.

Structural model:
Cell lengths 11.6243, 7.1006, 10.1206 Å; angles 90.00, 122.98, 90.00 degrees
Space group C2/c (No. 15)
Inequivalent atoms, fractional coordinates:
K: 0.2177 0.0529 0.3342 (multiplicity 8)
Mo: 0.0000 0.4276 0.7500 (multiplicity 4)
S: 0.0170 0.2409 0.9378 (multiplicity 8)
O: 0.1504 0.4305 0.3321 (multiplicity 8)

Principal peaks in the range 2θ from 10° to 80°, in order of falling intensity:
2θ (°)	I (rel.)
15.44	100
26.91	89
26.58	54
29.92	49
32.89	46
20.93	37
27.23	30
21.28	30
18.20	28
48.12	28